(1)
Computed PXRD pattern
Compound: Ac12Nd3Sc
Radiation: λ = 1.5418 Å (Cu Kα)
Structure: a GGA-PBE-relaxed structure
No peak broadening, texture or thermal motion is included.

Largest 12 diffraction maxima, sorted by position, 10° ≤ 2θ ≤ 80°:
| d_spacing | I (rel.) |
| --- | --- |
| 5.503 | 4 |
| 3.891 | 4 |
| 3.177 | 100 |
| 2.751 | 51 |
| 2.461 | 3 |
| 2.246 | 2 |
| 1.945 | 38 |
| 1.659 | 46 |
| 1.588 | 13 |
| 1.376 | 6 |
| 1.262 | 19 |
| 1.230 | 17 |

Atomic structure:
abc: 5.503 5.503 22.006
angles: 90.00 90.00 90.00
Fractional coordinates of all 16 atoms:
1 Ac 0.000 0.000 0.000
2 Ac 0.000 0.000 0.247
3 Ac 0.000 0.000 0.500
4 Ac 0.000 0.000 0.753
5 Ac 0.000 0.500 0.121
6 Ac 0.000 0.500 0.374
7 Ac 0.000 0.500 0.626
8 Ac 0.000 0.500 0.879
9 Ac 0.500 0.000 0.121
10 Ac 0.500 0.000 0.374
11 Ac 0.500 0.000 0.626
12 Ac 0.500 0.000 0.879
13 Nd 0.500 0.500 0.247
14 Nd 0.500 0.500 0.500
15 Nd 0.500 0.500 0.753
16 Sc 0.500 0.500 0.000

=====

(2)
Computed PXRD pattern
Compound: AcNdScTl
Radiation: λ = 1.5418 Å (Cu Kα)
Structure: a GGA-PBE-relaxed structure
No peak broadening, texture or thermal motion is included.

Largest 12 diffraction maxima, sorted by position, 10° ≤ 2θ ≤ 80°:
| d_spacing | I (rel.) |
| --- | --- |
| 4.539 | 6 |
| 3.931 | 17 |
| 2.780 | 100 |
| 2.371 | 4 |
| 2.270 | 6 |
| 1.966 | 19 |
| 1.804 | 2 |
| 1.758 | 8 |
| 1.605 | 39 |
| 1.390 | 12 |
| 1.310 | 4 |
| 1.243 | 17 |

Atomic structure:
abc: 5.559 5.559 5.559
angles: 60.00 60.00 60.00
Fractional coordinates of all 4 atoms:
1 Ac 0.000 0.000 0.000
2 Nd 0.750 0.750 0.750
3 Sc 0.250 0.250 0.250
4 Tl 0.500 0.500 0.500

=====

(3)
Computed PXRD pattern
Compound: Ac2NdSe3
Radiation: λ = 1.5418 Å (Cu Kα)
Structure: a GGA-PBE-relaxed structure
No peak broadening, texture or thermal motion is included.

Largest 12 diffraction maxima, sorted by position, 10° ≤ 2θ ≤ 80°:
| d_spacing | I (rel.) |
| --- | --- |
| 3.606 | 17 |
| 3.559 | 16 |
| 3.102 | 100 |
| 2.215 | 13 |
| 2.194 | 51 |
| 2.171 | 12 |
| 1.803 | 14 |
| 1.779 | 13 |
| 1.551 | 13 |
| 1.388 | 24 |
| 1.275 | 9 |
| 1.258 | 9 |

Atomic structure:
abc: 14.433 13.761 7.628
angles: 79.23 69.50 31.28
Fractional coordinates of all 24 atoms:
1 Ac 0.043 0.043 0.207
2 Ac 0.124 0.124 0.626
3 Ac 0.207 0.207 0.043
4 Ac 0.374 0.374 0.876
5 Ac 0.626 0.626 0.124
6 Ac 0.793 0.793 0.957
7 Ac 0.876 0.876 0.374
8 Ac 0.957 0.957 0.793
9 Nd 0.292 0.292 0.458
10 Nd 0.458 0.458 0.292
11 Nd 0.542 0.542 0.708
12 Nd 0.708 0.708 0.542
13 Se 0.039 0.540 0.221
14 Se 0.137 0.613 0.613
15 Se 0.221 0.700 0.039
16 Se 0.300 0.779 0.460
17 Se 0.387 0.863 0.863
18 Se 0.460 0.961 0.300
19 Se 0.540 0.039 0.700
20 Se 0.613 0.137 0.137
21 Se 0.700 0.221 0.540
22 Se 0.779 0.300 0.961
23 Se 0.863 0.387 0.387
24 Se 0.961 0.460 0.779

=====

(4)
Computed PXRD pattern
Compound: Ac3NdSe4
Radiation: λ = 1.5418 Å (Cu Kα)
Structure: a GGA-PBE-relaxed structure
No peak broadening, texture or thermal motion is included.

Largest 12 diffraction maxima, sorted by position, 10° ≤ 2θ ≤ 80°:
| d_spacing | I (rel.) |
| --- | --- |
| 3.618 | 27 |
| 3.583 | 26 |
| 3.125 | 50 |
| 3.114 | 100 |
| 2.218 | 20 |
| 2.206 | 77 |
| 2.186 | 19 |
| 1.886 | 12 |
| 1.792 | 20 |
| 1.557 | 13 |
| 1.395 | 18 |
| 1.266 | 13 |

Atomic structure:
abc: 7.674 8.746 7.656
angles: 90.00 109.27 90.00
Fractional coordinates of all 16 atoms:
1 Ac 0.000 0.124 0.250
2 Ac 0.000 0.374 0.750
3 Ac 0.000 0.626 0.250
4 Ac 0.000 0.876 0.750
5 Ac 0.500 0.373 0.250
6 Ac 0.500 0.627 0.750
7 Nd 0.500 0.124 0.750
8 Nd 0.500 0.876 0.250
9 Se 0.256 0.370 0.505
10 Se 0.256 0.630 0.005
11 Se 0.260 0.120 0.000
12 Se 0.260 0.880 0.500
13 Se 0.740 0.120 0.500
14 Se 0.740 0.880 0.000
15 Se 0.744 0.370 0.995
16 Se 0.744 0.630 0.495

=====

(5)
Computed PXRD pattern
Compound: Ac2NdSe4
Radiation: λ = 1.5418 Å (Cu Kα)
Structure: a GGA-PBE-relaxed structure
No peak broadening, texture or thermal motion is included.

Largest 12 diffraction maxima, sorted by position, 10° ≤ 2θ ≤ 80°:
| d_spacing | I (rel.) |
| --- | --- |
| 4.053 | 100 |
| 3.261 | 18 |
| 3.205 | 19 |
| 3.130 | 38 |
| 2.933 | 60 |
| 2.705 | 17 |
| 2.362 | 32 |
| 2.299 | 21 |
| 2.199 | 32 |
| 2.108 | 22 |
| 1.870 | 21 |
| 1.522 | 20 |

Atomic structure:
abc: 7.697 7.697 14.531
angles: 90.00 90.00 148.21
Fractional coordinates of all 14 atoms:
1 Ac 0.131 0.869 0.575
2 Ac 0.131 0.869 0.925
3 Ac 0.869 0.131 0.075
4 Ac 0.869 0.131 0.425
5 Nd 0.372 0.628 0.750
6 Nd 0.628 0.372 0.250
7 Se 0.016 0.984 0.750
8 Se 0.219 0.781 0.126
9 Se 0.219 0.781 0.374
10 Se 0.500 0.500 0.000
11 Se 0.500 0.500 0.500
12 Se 0.781 0.219 0.626
13 Se 0.781 0.219 0.874
14 Se 0.984 0.016 0.250

=====

(6)
Computed PXRD pattern
Compound: Ac3TbNd2Se6
Radiation: λ = 1.5418 Å (Cu Kα)
Structure: a GGA-PBE-relaxed structure
No peak broadening, texture or thermal motion is included.

Largest 12 diffraction maxima, sorted by position, 10° ≤ 2θ ≤ 80°:
| d_spacing | I (rel.) |
| --- | --- |
| 3.580 | 8 |
| 3.514 | 22 |
| 3.057 | 100 |
| 2.177 | 38 |
| 2.151 | 13 |
| 2.145 | 25 |
| 1.790 | 7 |
| 1.759 | 13 |
| 1.529 | 12 |
| 1.376 | 11 |
| 1.359 | 11 |
| 1.246 | 8 |

Atomic structure:
abc: 7.444 7.444 7.580
angles: 99.42 99.42 120.16
Fractional coordinates of all 12 atoms:
1 Ac 0.000 0.000 0.000
2 Ac 0.330 0.670 0.000
3 Ac 0.670 0.330 0.000
4 Tb 0.500 0.500 0.500
5 Nd 0.167 0.833 0.500
6 Nd 0.833 0.167 0.500
7 Se 0.098 0.424 0.271
8 Se 0.252 0.252 0.733
9 Se 0.424 0.098 0.271
10 Se 0.576 0.902 0.729
11 Se 0.748 0.748 0.267
12 Se 0.902 0.576 0.729

=====

(7)
Computed PXRD pattern
Compound: Ac2NdSi2
Radiation: λ = 1.5418 Å (Cu Kα)
Structure: a GGA-PBE-relaxed structure
No peak broadening, texture or thermal motion is included.

Largest 12 diffraction maxima, sorted by position, 10° ≤ 2θ ≤ 80°:
| d_spacing | I (rel.) |
| --- | --- |
| 4.263 | 72 |
| 3.781 | 30 |
| 3.212 | 42 |
| 3.170 | 31 |
| 3.153 | 49 |
| 3.068 | 75 |
| 3.023 | 100 |
| 2.902 | 60 |
| 2.760 | 43 |
| 2.605 | 37 |
| 2.290 | 43 |
| 1.731 | 30 |

Atomic structure:
abc: 6.937 6.937 11.449
angles: 115.77 115.77 38.55
Fractional coordinates of all 10 atoms:
1 Ac 0.015 0.015 0.190
2 Ac 0.180 0.180 0.590
3 Ac 0.820 0.820 0.410
4 Ac 0.985 0.985 0.810
5 Nd 0.272 0.272 0.130
6 Nd 0.728 0.728 0.870
7 Si 0.394 0.394 0.950
8 Si 0.497 0.497 0.604
9 Si 0.503 0.503 0.396
10 Si 0.606 0.606 0.050

=====

(8)
Computed PXRD pattern
Compound: Ac2Nd3Si4
Radiation: λ = 1.5418 Å (Cu Kα)
Structure: a GGA-PBE-relaxed structure
No peak broadening, texture or thermal motion is included.

Largest 12 diffraction maxima, sorted by position, 10° ≤ 2θ ≤ 80°:
| d_spacing | I (rel.) |
| --- | --- |
| 3.877 | 48 |
| 3.596 | 58 |
| 3.499 | 38 |
| 3.457 | 40 |
| 3.109 | 57 |
| 2.973 | 48 |
| 2.901 | 71 |
| 2.824 | 69 |
| 2.808 | 100 |
| 2.558 | 50 |
| 2.514 | 40 |
| 1.807 | 36 |

Atomic structure:
abc: 8.067 8.143 7.941
angles: 90.00 105.91 90.00
Fractional coordinates of all 18 atoms:
1 Ac 0.200 0.178 0.089
2 Ac 0.200 0.322 0.589
3 Ac 0.800 0.678 0.411
4 Ac 0.800 0.822 0.911
5 Nd 0.244 0.683 0.256
6 Nd 0.244 0.817 0.756
7 Nd 0.500 0.000 0.500
8 Nd 0.500 0.500 0.000
9 Nd 0.756 0.183 0.244
10 Nd 0.756 0.317 0.744
11 Si 0.080 0.529 0.890
12 Si 0.080 0.971 0.390
13 Si 0.497 0.115 0.881
14 Si 0.497 0.385 0.381
15 Si 0.503 0.615 0.619
16 Si 0.503 0.885 0.119
17 Si 0.920 0.029 0.610
18 Si 0.920 0.471 0.110

=====

(9)
Computed PXRD pattern
Compound: Ac6NdSm2
Radiation: λ = 1.5418 Å (Cu Kα)
Structure: a GGA-PBE-relaxed structure
No peak broadening, texture or thermal motion is included.

Largest 12 diffraction maxima, sorted by position, 10° ≤ 2θ ≤ 80°:
| d_spacing | I (rel.) |
| --- | --- |
| 3.426 | 25 |
| 3.213 | 92 |
| 3.193 | 47 |
| 3.176 | 32 |
| 3.105 | 35 |
| 3.088 | 100 |
| 3.054 | 59 |
| 2.994 | 72 |
| 2.780 | 23 |
| 2.285 | 27 |
| 1.766 | 23 |
| 1.589 | 16 |

Atomic structure:
abc: 9.677 9.677 9.841
angles: 96.13 96.13 122.15
Fractional coordinates of all 18 atoms:
1 Ac 0.067 0.370 0.864
2 Ac 0.159 0.718 0.553
3 Ac 0.282 0.841 0.947
4 Ac 0.297 0.387 0.577
5 Ac 0.370 0.067 0.364
6 Ac 0.387 0.297 0.077
7 Ac 0.613 0.703 0.923
8 Ac 0.630 0.933 0.636
9 Ac 0.703 0.613 0.423
10 Ac 0.718 0.159 0.053
11 Ac 0.841 0.282 0.447
12 Ac 0.933 0.630 0.136
13 Nd 0.027 0.973 0.750
14 Nd 0.973 0.027 0.250
15 Sm 0.181 0.467 0.251
16 Sm 0.467 0.181 0.751
17 Sm 0.533 0.819 0.249
18 Sm 0.819 0.533 0.749

=====

(10)
Computed PXRD pattern
Compound: Ac3Nd7Sm
Radiation: λ = 1.5418 Å (Cu Kα)
Structure: a GGA-PBE-relaxed structure
No peak broadening, texture or thermal motion is included.

Largest 12 diffraction maxima, sorted by position, 10° ≤ 2θ ≤ 80°:
| d_spacing | I (rel.) |
| --- | --- |
| 3.991 | 36 |
| 3.025 | 68 |
| 2.991 | 37 |
| 2.956 | 33 |
| 2.901 | 100 |
| 2.891 | 91 |
| 2.127 | 28 |
| 2.114 | 26 |
| 1.726 | 18 |
| 1.721 | 42 |
| 1.584 | 22 |
| 1.570 | 22 |

Atomic structure:
abc: 8.937 8.937 8.937
angles: 140.43 97.18 95.98
Fractional coordinates of all 11 atoms:
1 Ac 0.000 0.000 0.000
2 Ac 0.212 0.500 0.712
3 Ac 0.788 0.500 0.288
4 Nd 0.002 0.797 0.206
5 Nd 0.214 0.714 0.500
6 Nd 0.409 0.203 0.206
7 Nd 0.500 0.500 0.000
8 Nd 0.591 0.797 0.794
9 Nd 0.786 0.286 0.500
10 Nd 0.998 0.203 0.794
11 Sm 0.500 0.000 0.500

=====

(11)
Computed PXRD pattern
Compound: Ac5Nd2Sm4
Radiation: λ = 1.5418 Å (Cu Kα)
Structure: a GGA-PBE-relaxed structure
No peak broadening, texture or thermal motion is included.

Largest 12 diffraction maxima, sorted by position, 10° ≤ 2θ ≤ 80°:
| d_spacing | I (rel.) |
| --- | --- |
| 3.717 | 12 |
| 3.345 | 16 |
| 3.200 | 18 |
| 3.051 | 100 |
| 3.029 | 37 |
| 2.906 | 24 |
| 2.785 | 24 |
| 2.359 | 13 |
| 1.934 | 12 |
| 1.858 | 12 |
| 1.587 | 27 |
| 1.584 | 12 |

Atomic structure:
abc: 9.333 3.717 12.623
angles: 90.00 92.60 90.00
Fractional coordinates of all 11 atoms:
1 Ac 0.000 0.000 0.000
2 Ac 0.199 0.000 0.524
3 Ac 0.277 0.000 0.813
4 Ac 0.723 0.000 0.187
5 Ac 0.801 0.000 0.476
6 Nd 0.352 0.000 0.120
7 Nd 0.648 0.000 0.880
8 Sm 0.078 0.500 0.267
9 Sm 0.464 0.500 0.356
10 Sm 0.536 0.500 0.644
11 Sm 0.922 0.500 0.733

=====

(12)
Computed PXRD pattern
Compound: Ac3Nd2Sm8
Radiation: λ = 1.5418 Å (Cu Kα)
Structure: a GGA-PBE-relaxed structure
No peak broadening, texture or thermal motion is included.

Largest 12 diffraction maxima, sorted by position, 10° ≤ 2θ ≤ 80°:
| d_spacing | I (rel.) |
| --- | --- |
| 3.453 | 27 |
| 3.088 | 96 |
| 3.046 | 90 |
| 2.958 | 100 |
| 2.952 | 93 |
| 2.885 | 46 |
| 2.769 | 30 |
| 2.674 | 71 |
| 2.591 | 33 |
| 1.828 | 31 |
| 1.567 | 29 |
| 1.555 | 30 |

Atomic structure:
abc: 11.959 22.046 3.655
angles: 90.00 90.00 90.00
Fractional coordinates of all 26 atoms:
1 Ac 0.000 0.000 0.000
2 Ac 0.138 0.299 0.000
3 Ac 0.362 0.799 0.000
4 Ac 0.500 0.500 0.000
5 Ac 0.638 0.201 0.000
6 Ac 0.862 0.701 0.000
7 Nd 0.175 0.896 0.500
8 Nd 0.325 0.396 0.500
9 Nd 0.675 0.604 0.500
10 Nd 0.825 0.104 0.500
11 Sm 0.048 0.432 0.500
12 Sm 0.063 0.156 0.000
13 Sm 0.141 0.709 0.500
14 Sm 0.206 0.554 0.000
15 Sm 0.294 0.054 0.000
16 Sm 0.359 0.209 0.500
17 Sm 0.437 0.656 0.000
18 Sm 0.452 0.932 0.500
19 Sm 0.548 0.068 0.500
20 Sm 0.563 0.344 0.000
21 Sm 0.641 0.791 0.500
22 Sm 0.706 0.946 0.000
23 Sm 0.794 0.446 0.000
24 Sm 0.859 0.291 0.500
25 Sm 0.937 0.844 0.000
26 Sm 0.952 0.568 0.500